Starting from a PBE-relaxed structure, the powder diffractogram of SrLa4Si3O13 was simulated for Cu Kα (λ = 1.5418 Å).

Top 12 peaks for 10 to 90 degrees two-theta, by intensity:
hkl 2 1 1, 30.5 deg, intensity 100.0
hkl 1 1 2, 30.6 deg, intensity 50.5
hkl 1 0 2, 26.7 deg, intensity 35.8
hkl 2 1 3, 47.0 deg, intensity 34.7
hkl 2 1 0, 27.9 deg, intensity 33.4
hkl 3 0 0, 31.7 deg, intensity 28.4
hkl 2 2 2, 44.7 deg, intensity 28.0
hkl 4 0 2, 49.9 deg, intensity 27.9
hkl 2 0 0, 21.0 deg, intensity 25.9
hkl 1 1 1, 21.9 deg, intensity 23.3
hkl 1 4 0, 49.4 deg, intensity 22.2
hkl 3 2 1, 48.6 deg, intensity 18.4

Cell and atoms:
Cell lengths 9.7684, 9.7684, 7.2735 Å; angles 90.00, 90.00, 120.00 degrees
Positions (direct):
Sr  0.3333  0.6667  0.0000
Sr  0.6667  0.3333  0.5000
La  0.0112  0.2435  0.7506
La  0.2323  0.9888  0.7506
La  0.2435  0.2323  0.2506
La  0.3333  0.6667  0.5001
La  0.6667  0.3333  0.0001
La  0.7565  0.7677  0.7506
La  0.7677  0.0112  0.2506
La  0.9888  0.7565  0.2506
Si  0.0294  0.3996  0.2490
Si  0.3703  0.9706  0.2490
Si  0.3996  0.3703  0.7490
Si  0.6004  0.6297  0.2490
Si  0.6297  0.0294  0.7490
Si  0.9706  0.6004  0.7490
O  0.0000  0.0000  0.2508
O  0.0000  0.0000  0.7508
O  0.0881  0.3384  0.0698
O  0.0896  0.3421  0.4313
O  0.1230  0.5940  0.2551
O  0.1626  0.6788  0.7449
O  0.2503  0.9119  0.0698
O  0.2525  0.9104  0.4313
O  0.3212  0.4839  0.7449
O  0.3384  0.2503  0.5698
O  0.3421  0.2525  0.9313
O  0.4060  0.5290  0.2551
O  0.4710  0.8770  0.2551
O  0.4839  0.1626  0.2449
O  0.5161  0.8374  0.7449
O  0.5290  0.1230  0.7551
O  0.5940  0.4710  0.7551
O  0.6579  0.7475  0.4313
O  0.6616  0.7497  0.0698
O  0.6788  0.5161  0.2449
O  0.7475  0.0896  0.9313
O  0.7497  0.0881  0.5698
O  0.8374  0.3212  0.2449
O  0.8770  0.4060  0.7551
O  0.9104  0.6579  0.9313
O  0.9119  0.6616  0.5698